Diffraction record for K3Na5V2Mo6O24. The powder X-ray diffraction pattern is computed, not measured: it uses a crystal structure in Alexandria, relaxed with PBE+U and λ = 1.5418 Å (Cu Kα).
Intensities are scaled so that the largest is 100.

Most intense lines, 15 to 90 degrees two-theta, by angle:
hkl, 2θ/deg, Rel. int.
0 0 2, 22.45, 34.5
2 0 0, 22.57, 33.7
0 2 0, 22.68, 33.0
2 0 2, 32.05, 49.9
2 2 0, 32.17, 100.0
0 0 4, 45.83, 23.3
4 0 0, 46.09, 22.7
0 4 0, 46.32, 22.7
2 2 4, 57.12, 18.2
2 4 2, 57.44, 18.5

Structural model:
```
data_K3Na5V2Mo6O24
_cell_length_a 7.8777
_cell_length_b 7.8399
_cell_length_c 7.9202
_cell_angle_alpha 90.00
_cell_angle_beta 90.13
_cell_angle_gamma 90.00
_symmetry_space_group_name_H-M 'P 1 m 1'
_symmetry_Int_Tables_number 6
loop_
_symmetry_equiv_pos_as_xyz
'x,y,z'
'x,-y,z'
loop_
_atom_site_label
_atom_site_type_symbol
_atom_site_fract_x
_atom_site_fract_y
_atom_site_fract_z
K1 K 0.0000 0.0000 0.0000
K2 K 0.0001 0.0000 0.4889
K3 K 0.0001 0.5000 0.9991
Na1 Na 0.0130 0.5000 0.4776
Na2 Na 0.4815 0.0000 0.0113
Na3 Na 0.4813 0.0000 0.4784
Na4 Na 0.4812 0.5000 0.0114
Na5 Na 0.4838 0.5000 0.4777
V1 V 0.2479 0.2504 0.2451
Mo1 Mo 0.2500 0.2504 0.7436
Mo2 Mo 0.7434 0.2508 0.2451
Mo3 Mo 0.7447 0.2505 0.7436
O1 O 0.2359 0.0000 0.7411
O2 O 0.2501 0.0000 0.2463
O3 O 0.2513 0.2488 0.9841
O4 O 0.2511 0.2548 0.5035
O5 O 0.2509 0.5000 0.2455
O6 O 0.2668 0.5000 0.7462
O7 O 0.5007 0.2483 0.2435
O8 O 0.5019 0.2311 0.7441
O9 O 0.7256 0.5000 0.7508
O10 O 0.7373 0.5000 0.2396
O11 O 0.7409 0.2582 0.4972
O12 O 0.7420 0.0000 0.2504
O13 O 0.7430 0.2447 0.9914
O14 O 0.7605 0.0000 0.7381
O15 O 0.9871 0.2549 0.2486
O16 O 0.9911 0.2668 0.7400
```